# Li6Cr5CuO12
Theoretical X-ray powder pattern, Cu Kα (weighted mean of Kα1 and Kα2). Input: a GGA+U-relaxed structure.
Lines closer than 0.1° are merged.

Atomic structure:
abc: 5.099 8.835 10.077
angles: 90.00 99.54 90.00
Space group C2/m (No. 12)
Unique sites:
Li: 0.086 0.000 0.251
Li: 0.088 0.333 0.258
Cr: 0.000 0.166 0.500
Cr: 0.000 0.333 0.000
Cr: 0.000 0.500 0.500
Cu: 0.000 0.000 0.000
O: 0.127 0.500 0.886
O: 0.130 0.168 0.886
O: 0.203 0.000 0.611
O: 0.203 0.333 0.611

Peak list (10 most intense, 2θ = 10–90°, in order of rising 2θ)
| 2θ/deg | I_rel | h k l |
| --- | --- | --- |
| 17.85 | 100.0 | 0 0 2 |
| 35.72 | 30.3 | 1 3 -1 |
| 37.27 | 26.2 | 2 0 -2 |
| 41.27 | 8.4 | 2 0 -3 |
| 42.98 | 30.8 | 2 0 2 |
| 46.85 | 22.7 | 1 3 3 |
| 46.96 | 11.2 | 2 0 -4 |
| 56.32 | 12.6 | 1 3 -5 |
| 63.16 | 20.1 | 0 6 0 |
| 66.18 | 8.7 | 3 3 1 |